Simulated X-ray powder pattern
Compound: Rb3V2Br3F4
Radiation: copper Kα
Structure: a cell relaxed with PBE+U
No peak broadening, texture or thermal motion is included.

Structure:
Cell: 4.278 5.365 25.649 Å, 90.00 90.00 90.00°
Space group Immm (No. 71)
One atom of each set of equivalent atoms:
Rb1 0.000 0.000 0.000 (multiplicity 2)
Rb2 0.000 0.000 0.199 (multiplicity 4)
V1 0.000 0.000 0.386 (multiplicity 4)
Br1 0.000 0.000 0.500 (multiplicity 2)
Br2 0.000 0.500 0.397 (multiplicity 4)
F1 0.000 0.000 0.305 (multiplicity 4)
F2 0.000 0.500 0.117 (multiplicity 4)

Most intense lines, 2θ = 15–90°, low angle first:
- 3.345 Å, 26.65°, I 57, (1 1 0)
- 3.285 Å, 27.14°, I 88, (1 0 5)
- 2.965 Å, 30.14°, I 100, (1 1 4)
- 2.682 Å, 33.40°, I 94, (0 2 0)
- 2.634 Å, 34.03°, I 87, (1 1 6)
- 2.565 Å, 34.98°, I 68, (0 0 10)
- 2.139 Å, 42.25°, I 54, (2 0 0)
- 2.078 Å, 43.56°, I 48, (1 2 5)
- 1.854 Å, 49.15°, I 53, (0 2 10)
- 1.672 Å, 54.90°, I 42, (2 2 0)